Record 1
Na5NbS4Cl2: simulated X-ray diffraction stick pattern (Cu Kα (λ = 1.5418 Å)), based on a cell relaxed with PBE.
Kinematic intensities with the Lorentz-polarization factor, no thermal factor.

The 6 most intense peaks (10 to 90 degrees two-theta), in order of rising 2θ:
15.1°, rel. 69, (0 1 1); 18.7°, rel. 46, (1 1 1); 26.7°, rel. 94, (2 1 1); 26.9°, rel. 90, (0 3 1); 37.9°, rel. 100, (2 2 2); 47.7°, rel. 33, (2 5 1)

Structure:
Cell: 8.1099 11.3746 6.8350 Å, 90.00 90.00 90.00°
Space group Amm2 (No. 38)
Inequivalent atoms, fractional coordinates:
Na (0.0000, 0.0000, 0.0000)
Na (0.2517, 0.1951, 0.5134)
Nb (0.5000, 0.0000, 0.0400)
S (0.2726, 0.0000, 0.2399)
S (0.5000, 0.1620, 0.8370)
Cl (0.0000, 0.1936, 0.7800)



Record 2
Na3NdCl6: simulated X-ray diffraction stick pattern (Cu Kα (λ = 1.5418 Å)), based on a cell relaxed with PBE.
Kinematic intensities with the Lorentz-polarization factor, no thermal factor.

The 6 most intense peaks (10 to 90 degrees two-theta), in order of rising 2θ:
14.7°, rel. 100, (0 1 1); 17.4°, rel. 67, (1 1 -1); 24.2°, rel. 58, (1 1 1); 28.7°, rel. 44, (1 0 -4); 29.1°, rel. 45, (2 1 -1); 35.1°, rel. 39, (2 2 -2)

Structure:
Cell: 7.0850 7.3676 12.5436 Å, 90.00 123.24 90.00°
Space group P2_1/c (No. 14)
Inequivalent atoms, fractional coordinates:
Na (0.0000, 0.0000, 0.0000)
Na (0.2111, 0.0631, 0.7247)
Nd (0.5000, 0.0000, 0.5000)
Cl (0.1193, 0.1794, 0.4452)
Cl (0.2330, 0.6932, 0.4069)
Cl (0.4018, 0.0850, 0.2605)



Record 3
NaNdSnCl6: simulated X-ray diffraction stick pattern (Cu Kα (λ = 1.5418 Å)), based on a cell relaxed with PBE.
Kinematic intensities with the Lorentz-polarization factor, no thermal factor.

The 6 most intense peaks (10 to 90 degrees two-theta), in order of rising 2θ:
15.1°, rel. 43, (1 0 1); 19.0°, rel. 100, (1 1 0); 24.8°, rel. 50, (1 0 3); 28.2°, rel. 30, (1 1 3); 36.9°, rel. 89, (2 1 3); 46.3°, rel. 42, (3 0 3)

Structure:
Cell: 6.6150 6.6150 12.8560 Å, 90.00 90.00 90.00°
Space group P4_2nm (No. 102)
Inequivalent atoms, fractional coordinates:
Na (0.0000, 0.0000, 0.0000)
Nd (0.0000, 0.0000, 0.6663)
Sn (0.0000, 0.0000, 0.3326)
Cl (0.1937, 0.1937, 0.5051)
Cl (0.1939, 0.1939, 0.8283)
Cl (0.2040, 0.2040, 0.1653)